Simulated powder diffractogram of Tl3TcF for copper Kα, from DFT lattice parameters and positions (PBE).

Atomic structure:
```
5
Lattice="5.312 0.000 0.000 0.000 5.312 0.000 0.000 0.000 5.312" Properties=species:S:1:pos:R:3 pbc="T T T"
Tl 0.000 0.000 2.656
Tl 0.000 2.656 0.000
Tl 2.656 0.000 0.000
Tc 0.000 0.000 0.000
F 2.656 2.656 2.656
```

Top 10 peaks for 2θ from 5° to 70°, in order of rising 2θ:
2θ = 16.7°, 5.312 Å, I 84; 2θ = 23.7°, 3.756 Å, I 5; 2θ = 29.1°, 3.067 Å, I 100; 2θ = 33.7°, 2.656 Å, I 99; 2θ = 37.9°, 2.376 Å, I 44; 2θ = 48.5°, 1.878 Å, I 72; 2θ = 51.6°, 1.771 Å, I 23; 2θ = 57.5°, 1.602 Å, I 46; 2θ = 60.4°, 1.534 Å, I 25; 2θ = 63.1°, 1.473 Å, I 10